# NaAlH22C10N2O12
Computed X-ray diffraction stick pattern, Cu Ka. Input: a DFT-relaxed cell (PBE, the Materials Project).
Neutral-atom scattering factors, no anomalous dispersion.

The 10 most intense peaks (10 to 90 degrees two-theta), most intense first:
d_spacing  2θ (°)  I (rel.)  hkl
7.199  12.3  100  1 0 0
6.206  14.3  92  1 1 1
6.653  13.3  83  0 1 0
3.750  23.7  76  -1 1 2
3.597  24.8  76  2 1 -1
6.096  14.5  55  1 0 -1
3.327  26.8  50  0 2 0
2.808  31.9  32  1 1 3
3.407  26.2  31  2 2 0
4.042  22.0  30  1 1 2

Atomic structure:
```
NaAlH22C10N2O12
1.0
8.2517 0.0000 0.0000
3.8113 7.6814 0.0000
0.2412 4.6579 8.0732
Na Al H C N O
1 1 22 10 2 12
direct
0.0000 0.0000 0.0000
0.5315 0.9254 0.5253
0.1075 0.5703 0.4602
0.1290 0.6643 0.8560
0.1363 0.4553 0.6800
0.1360 0.6898 0.5625
0.1813 0.9799 0.6592
0.1887 0.3250 0.0233
0.2169 0.3797 0.2779
0.3259 0.5902 0.9746
0.3283 0.4605 0.5895
0.3420 0.5738 0.8025
0.3565 0.7751 0.3718
0.4722 0.0703 0.0201
0.4912 0.5069 0.2322
0.5591 0.2392 0.9284
0.6350 0.6707 0.0724
0.6712 0.0741 0.7073
0.6994 0.5394 0.3781
0.7628 0.4186 0.1069
0.8163 0.9951 0.3307
0.8355 0.5000 0.6877
0.8728 0.2857 0.4136
0.8782 0.5455 0.1128
0.1776 0.5436 0.5735
0.2672 0.9403 0.3169
0.2724 0.9976 0.7300
0.3079 0.3476 0.9950
0.3565 0.3621 0.2876
0.7108 0.4926 0.7290
0.7580 0.5224 0.1474
0.7664 0.4397 0.3278
0.7761 0.9056 0.2982
0.7881 0.9309 0.7264
0.2760 0.5529 0.9006
0.4543 0.2108 0.9737
0.1406 0.0366 0.1922
0.2368 0.0020 0.8591
0.3044 0.0181 0.3936
0.3618 0.5357 0.2019
0.4105 0.0118 0.6693
0.4988 0.2026 0.3851
0.5576 0.6613 0.6658
0.6619 0.8522 0.3778
0.7258 0.3258 0.8319
0.7606 0.8513 0.6490
0.8403 0.8637 0.1908
0.9390 0.8574 0.8221
```